Entry 1:
Starting from the GGA-PBE geometry in Alexandria, the powder XRD pattern of PrTmPtPb was simulated for Cu Kα X-rays.
Lines closer than 0.1° are merged.

Lattice parameters (Å, degrees): 5.264 5.264 5.264 60.00 60.00 60.00
Element x y z (fractional)
Pr 0.000 0.000 0.000
Tm 0.500 0.500 0.500
Pt 0.250 0.250 0.250
Pb 0.750 0.750 0.750

Principal peaks in the range 2θ from 5° to 70°, in order of rising 2θ:
d [Å], 2theta, I/Imax
3.722, 23.9, 17
2.632, 34.1, 1000
2.149, 42.0, 6
1.861, 48.9, 183
1.665, 55.2, 8
1.520, 61.0, 381



Entry 2:
Starting from the GGA-PBE geometry in Alexandria, the powder XRD pattern of V3S4 was simulated for Cu Kα X-rays.
Lines closer than 0.1° are merged.

Lattice parameters (Å, degrees): 9.083 9.083 3.246 90.00 90.00 120.00
Element x y z (fractional)
V 0.118 0.630 0.250
V 0.370 0.489 0.250
V 0.489 0.118 0.750
V 0.511 0.882 0.250
V 0.630 0.511 0.750
V 0.882 0.370 0.750
S 0.052 0.346 0.250
S 0.294 0.948 0.250
S 0.333 0.667 0.750
S 0.346 0.294 0.750
S 0.654 0.706 0.250
S 0.667 0.333 0.250
S 0.706 0.052 0.750
S 0.948 0.654 0.750

Principal peaks in the range 2θ from 5° to 70°, in order of rising 2θ:
d [Å], 2theta, I/Imax
7.866, 11.2, 1000
3.001, 29.8, 140
2.973, 30.1, 81
2.503, 35.9, 137
2.192, 41.2, 546
2.182, 41.4, 252
1.861, 49.0, 270
1.717, 53.4, 88
1.623, 56.7, 89
1.577, 58.5, 94